Computed XRD peak list of TaCr3Ag2S8 for Cu Kα X-rays, from DFT lattice parameters and positions (GGA-PBE).

Peak list (8 most intense, 10° ≤ 2θ ≤ 90°, low angle first)
- 13.41°, I = 45, hkl 0 0 1
- 14.92°, I = 100, hkl 1 0 0
- 25.54°, I = 30, hkl 0 2 0
- 29.71°, I = 78, hkl 1 2 0
- 37.75°, I = 60, hkl 2 0 -2
- 39.03°, I = 42, hkl 1 2 -2
- 42.08°, I = 75, hkl 1 2 2
- 53.24°, I = 44, hkl 3 2 0

```
data_TaCr3Ag2S8
_symmetry_space_group_name_H-M 'P 1 2/m 1'
_symmetry_Int_Tables_number 10
_cell_length_a 5.9977
_cell_length_b 6.9757
_cell_length_c 6.6718
_cell_angle_alpha 90.00
_cell_angle_beta 98.22
_cell_angle_gamma 90.00
loop_
_symmetry_equiv_pos_as_xyz
'x,y,z'
'-x,-y,-z'
'-x,y,-z'
'x,-y,z'
loop_
_atom_site_label
_atom_site_fract_x
_atom_site_fract_y
_atom_site_fract_z
Ta1 0.0000 0.0000 0.0000
Cr1 0.0000 0.5000 0.0000
Cr2 0.5000 0.2507 0.0000
Ag1 0.0000 0.0000 0.5000
Ag2 0.0000 0.5000 0.5000
S1 0.2020 0.2543 0.2112
S2 0.3042 0.5000 0.8054
S3 0.3119 0.0000 0.7925
```